Calculated powder X-ray diffraction pattern
Compound: Ce3Pb2Br2
Radiation: λ = 1.5418 Å (Cu Kα)
Structure: a cell relaxed with PBE

The 6 most intense peaks (10° ≤ 2θ ≤ 90°), by angle:
| two_theta | d [Å] | I (rel.) | h k l |
| --- | --- | --- | --- |
| 27.41 | 3.254 | 100.0 | 2 0 2 |
| 31.13 | 2.873 | 87.1 | 3 1 -1 |
| 39.61 | 2.275 | 37.5 | 4 0 -3 |
| 41.81 | 2.160 | 37.6 | 5 1 1 |
| 42.09 | 2.147 | 36.9 | 1 1 -3 |
| 56.51 | 1.628 | 37.4 | 2 2 2 |

Structure:
```
data_Ce3Pb2Br2
_chemical_formula_sum 'Ce6 Pb4 Br4'
_space_group_name_H-M_alt 'C 1 2/m 1'
_space_group_IT_number 12
_cell_length_a 14.9011
_cell_length_b 3.7637
_cell_length_c 7.8455
_cell_angle_alpha 90.00
_cell_angle_beta 98.06
_cell_angle_gamma 90.00
loop_
_space_group_symop_operation_xyz
'x,y,z'
'-x,-y,-z'
'-x,y,-z'
'x,-y,z'
'x+1/2,y+1/2,z'
'-x+1/2,-y+1/2,-z'
'-x+1/2,y+1/2,-z'
'x+1/2,-y+1/2,z'
loop_
_atom_site_label
_atom_site_fract_x
_atom_site_fract_y
_atom_site_fract_z
Ce1 0.0000 0.0000 0.0000
Ce2 0.2348 0.5000 0.2697
Pb1 0.0852 0.0000 0.4155
Br1 0.1390 0.5000 0.8935
```